Calculated X-ray diffraction stick pattern of HoCr4Co3O12 for Cu Kα, 1.54184 Å, from a structure optimized by DFT (PBE+U).
Peak positions follow from Bragg's law for the DFT cell and can differ from measured ones.

Principal peaks in the range 2θ from 10° to 90°, by angle:
Position (°2θ)  intensity
16.92  20
29.53  6
34.23  100
38.42  13
42.26  6
45.83  14
49.19  25
61.29  47
72.12  12
82.31  16

Crystal structure
```
data_HoCr4Co3O12
_chemical_formula_sum 'Ho2 Cr8 Co6 O24'
_cell_length_a 7.409
_cell_length_b 7.409
_cell_length_c 7.409
_cell_angle_alpha 90.00
_cell_angle_beta 90.00
_cell_angle_gamma 90.00
_symmetry_space_group_name_H-M 'I m -3'
_symmetry_Int_Tables_number 204
_symmetry_space_group_name_Hall '-I 2 2 3'
loop_
_atom_site_label
_atom_site_fract_x
_atom_site_fract_y
_atom_site_fract_z
Ho1 0.000 0.000 0.000
Cr1 0.250 0.250 0.250
Co1 0.000 0.000 0.500
O1 0.000 0.307 0.169
```